Calculated powder XRD pattern
Compound: Sn8P2O13
Radiation: Cu Kα (weighted mean of Kα1 and Kα2)
Structure: DFT lattice parameters and positions (GGA-PBE)
Kinematic intensities with the Lorentz-polarization factor, no thermal factor.

Most intense lines, 10 to 90 degrees two-theta, by angle:
28.63 deg, d 3.118, I 100
29.47 deg, d 3.031, I 99
31.50 deg, d 2.840, I 34
34.10 deg, d 2.629, I 25
35.30 deg, d 2.543, I 27
45.97 deg, d 1.974, I 15
48.02 deg, d 1.894, I 28
48.21 deg, d 1.888, I 13
49.90 deg, d 1.828, I 24
53.83 deg, d 1.703, I 15
55.33 deg, d 1.660, I 16
59.31 deg, d 1.558, I 21

Crystal structure
a b c (Å): 7.3187 7.3187 14.3408
angles (deg): 95.74 95.74 88.03
Fractional positions:
Sn: 0.0743 0.0743 0.1944
Sn: 0.0758 0.5481 0.2059
Sn: 0.1620 0.6708 0.5964
Sn: 0.2630 0.2630 0.0124
Sn: 0.3275 0.3275 0.3909
Sn: 0.3292 0.8380 0.4036
Sn: 0.4257 0.4257 0.7845
Sn: 0.4519 0.9242 0.7941
Sn: 0.5481 0.0758 0.2059
Sn: 0.5743 0.5743 0.2155
Sn: 0.6708 0.1620 0.5964
Sn: 0.6725 0.6725 0.6091
Sn: 0.7370 0.7370 0.9876
Sn: 0.8380 0.3292 0.4036
Sn: 0.9242 0.4519 0.7941
Sn: 0.9257 0.9257 0.8056
P: 0.1557 0.1557 0.5987
P: 0.2534 0.7466 0.0000
P: 0.7466 0.2534 0.0000
P: 0.8443 0.8443 0.4013
O: 0.0342 0.7829 0.3654
O: 0.0517 0.3347 0.3094
O: 0.0731 0.7390 0.9325
O: 0.1480 0.1480 0.4900
O: 0.2171 0.9658 0.6346
O: 0.2610 0.9269 0.0675
O: 0.2642 0.5779 0.0604
O: 0.2694 0.2694 0.1620
O: 0.2992 0.2992 0.6436
O: 0.3295 0.6187 0.2875
O: 0.3347 0.0517 0.3094
O: 0.3813 0.6705 0.7125
O: 0.4221 0.7358 0.9396
O: 0.5779 0.2642 0.0604
O: 0.6187 0.3295 0.2875
O: 0.6653 0.9483 0.6906
O: 0.6705 0.3813 0.7125
O: 0.7008 0.7008 0.3564
O: 0.7306 0.7306 0.8380
O: 0.7358 0.4221 0.9396
O: 0.7390 0.0731 0.9325
O: 0.7829 0.0342 0.3654
O: 0.8520 0.8520 0.5100
O: 0.9269 0.2610 0.0675
O: 0.9483 0.6653 0.6906
O: 0.9658 0.2171 0.6346

Calculated powder XRD pattern
Compound: SmAg3
Radiation: Cu Kα (weighted mean of Kα1 and Kα2)
Structure: DFT lattice parameters and positions (GGA-PBE)
Kinematic intensities with the Lorentz-polarization factor, no thermal factor.

Most intense lines, 10 to 90 degrees two-theta, by angle:
21.86 deg, d 4.065, I 1
25.30 deg, d 3.521, I 1
36.08 deg, d 2.490, I 100
42.58 deg, d 2.123, I 1
51.94 deg, d 1.760, I 17
64.87 deg, d 1.437, I 34
76.53 deg, d 1.245, I 10
87.65 deg, d 1.113, I 15

Crystal structure
a b c (Å): 4.9791 4.9791 4.9791
angles (deg): 60.00 60.00 60.00
Fractional positions:
Sm: 0.0000 0.0000 0.0000
Ag: 0.2500 0.2500 0.2500
Ag: 0.5000 0.5000 0.5000
Ag: 0.7500 0.7500 0.7500